No. 1
Starting from a crystal structure in the Materials Project, relaxed with GGA-PBE, the XRD peak list of Dy11In6Si4 was computed for copper Kα.
Intensities are scaled so that the largest is 1000.

Structural model:
Cell lengths 11.471, 11.471, 11.471 Å; angles 119.84, 119.84, 90.27 degrees
Positions (direct):
Dy1 0.066 0.316 0.750
Dy2 0.101 0.449 0.348
Dy3 0.101 0.754 0.652
Dy4 0.169 0.169 0.000
Dy5 0.246 0.899 0.348
Dy6 0.316 0.066 0.750
Dy7 0.316 0.566 0.250
Dy8 0.332 0.332 0.665
Dy9 0.332 0.668 0.000
Dy10 0.434 0.684 0.750
Dy11 0.449 0.101 0.348
Dy12 0.551 0.899 0.652
Dy13 0.566 0.316 0.250
Dy14 0.668 0.332 0.000
Dy15 0.668 0.668 0.335
Dy16 0.684 0.434 0.750
Dy17 0.684 0.934 0.250
Dy18 0.754 0.101 0.652
Dy19 0.831 0.831 0.000
Dy20 0.899 0.246 0.348
Dy21 0.899 0.551 0.652
Dy22 0.934 0.684 0.250
In1 0.034 0.034 0.411
In2 0.034 0.623 0.000
In3 0.129 0.129 0.258
In4 0.129 0.871 0.000
In5 0.377 0.377 0.411
In6 0.377 0.966 0.000
In7 0.623 0.034 0.000
In8 0.623 0.623 0.589
In9 0.871 0.129 0.000
In10 0.871 0.871 0.742
In11 0.966 0.377 0.000
In12 0.966 0.966 0.589
Si1 0.153 0.500 0.653
Si2 0.250 0.750 0.500
Si3 0.384 0.384 0.000
Si4 0.500 0.153 0.653
Si5 0.500 0.847 0.347
Si6 0.616 0.616 0.000
Si7 0.750 0.250 0.500
Si8 0.847 0.500 0.347

The 10 most intense peaks (5 to 70 degrees two-theta), in order of rising 2θ:
d (Å)  2θ (°)  I (rel.)
3.127  28.55  190
2.746  32.61  900
2.739  32.69  402
2.709  33.07  1000
2.560  35.05  140
2.473  36.32  273
2.115  42.75  158
1.704  53.78  165
1.623  56.71  168
1.420  65.77  240



No. 2
Starting from a crystal structure in the Materials Project, relaxed with GGA-PBE, the XRD peak list of SmDyIn2 was computed for copper Kα.
Intensities are scaled so that the largest is 1000.

Structural model:
Cell lengths 5.377, 5.377, 5.377 Å; angles 60.00, 60.00, 60.00 degrees
Positions (direct):
Sm1 0.000 0.000 0.000
Dy1 0.500 0.500 0.500
In1 0.250 0.250 0.250
In2 0.750 0.750 0.750

The 7 most intense peaks (5 to 70 degrees two-theta), in order of rising 2θ:
d (Å)  2θ (°)  I (rel.)
3.802  23.40  23
2.688  33.33  1000
2.195  41.12  7
1.901  47.85  180
1.700  53.93  11
1.552  59.56  371
1.344  70.00  114



No. 3
Starting from a crystal structure in the Materials Project, relaxed with GGA-PBE, the XRD peak list of Dy2TlIn was computed for copper Kα.
Intensities are scaled so that the largest is 1000.

Structural model:
Cell lengths 5.353, 5.353, 5.353 Å; angles 60.00, 60.00, 60.00 degrees
Positions (direct):
Dy1 0.250 0.250 0.250
Dy2 0.750 0.750 0.750
Tl1 0.000 0.000 0.000
In1 0.500 0.500 0.500

The 7 most intense peaks (5 to 70 degrees two-theta), in order of rising 2θ:
d (Å)  2θ (°)  I (rel.)
4.370  20.32  37
2.676  33.48  1000
2.282  39.48  22
1.892  48.08  182
1.737  52.71  10
1.545  59.86  378
1.457  63.90  8



No. 4
Starting from a crystal structure in the Materials Project, relaxed with GGA-PBE, the XRD peak list of DyYIn2 was computed for copper Kα.
Intensities are scaled so that the largest is 1000.

Structural model:
Cell lengths 5.336, 5.336, 5.336 Å; angles 60.00, 60.00, 60.00 degrees
Positions (direct):
Dy1 0.000 0.000 0.000
Y1 0.500 0.500 0.500
In1 0.250 0.250 0.250
In2 0.750 0.750 0.750

The 7 most intense peaks (5 to 70 degrees two-theta), in order of rising 2θ:
d (Å)  2θ (°)  I (rel.)
4.356  20.39  45
2.668  33.59  1000
2.275  39.61  27
1.886  48.24  178
1.731  52.89  12
1.540  60.07  364
1.452  64.13  9



No. 5
Starting from a crystal structure in the Materials Project, relaxed with GGA-PBE, the XRD peak list of DyZnIn was computed for copper Kα.
Intensities are scaled so that the largest is 1000.

Structural model:
Cell lengths 4.680, 4.680, 7.260 Å; angles 90.00, 90.00, 120.00 degrees
Positions (direct):
Dy1 0.000 0.000 0.000
Dy2 0.000 0.000 0.500
Zn1 0.333 0.667 0.250
Zn2 0.667 0.333 0.750
In1 0.333 0.667 0.750
In2 0.667 0.333 0.250

The 10 most intense peaks (5 to 70 degrees two-theta), in order of rising 2θ:
d (Å)  2θ (°)  I (rel.)
4.053  21.93  92
3.539  25.16  48
2.704  33.13  1000
2.340  38.47  625
1.815  50.27  95
1.769  51.66  282
1.657  55.47  17
1.434  65.03  259
1.411  66.22  264
1.351  69.58  114



No. 6
Starting from a crystal structure in the Materials Project, relaxed with GGA-PBE, the XRD peak list of Dy5Ir3 was computed for copper Kα.
Intensities are scaled so that the largest is 1000.

Structural model:
Cell lengths 8.330, 8.330, 6.231 Å; angles 90.00, 90.00, 120.00 degrees
Positions (direct):
Dy1 0.000 0.259 0.250
Dy2 0.000 0.741 0.750
Dy3 0.259 0.000 0.250
Dy4 0.259 0.259 0.750
Dy5 0.333 0.667 0.000
Dy6 0.333 0.667 0.500
Dy7 0.667 0.333 0.000
Dy8 0.667 0.333 0.500
Dy9 0.741 0.000 0.750
Dy10 0.741 0.741 0.250
Ir1 0.000 0.390 0.750
Ir2 0.000 0.610 0.250
Ir3 0.390 0.000 0.750
Ir4 0.390 0.390 0.250
Ir5 0.610 0.000 0.250
Ir6 0.610 0.610 0.750

The 10 most intense peaks (5 to 70 degrees two-theta), in order of rising 2θ:
d (Å)  2θ (°)  I (rel.)
7.214  12.27  84
3.116  28.65  141
2.727  32.85  116
2.496  35.97  1000
2.405  37.40  325
1.905  47.75  152
1.731  52.88  101
1.652  55.62  144
1.558  59.32  66
1.441  64.66  68



No. 7
Starting from a crystal structure in the Materials Project, relaxed with GGA-PBE, the XRD peak list of Dy3Ir was computed for copper Kα.
Intensities are scaled so that the largest is 1000.

Structural model:
Cell lengths 7.260, 9.263, 6.370 Å; angles 90.00, 90.00, 90.00 degrees
Positions (direct):
Dy1 0.035 0.250 0.133
Dy2 0.177 0.063 0.672
Dy3 0.177 0.437 0.672
Dy4 0.323 0.563 0.172
Dy5 0.323 0.937 0.172
Dy6 0.465 0.750 0.633
Dy7 0.535 0.250 0.367
Dy8 0.677 0.063 0.828
Dy9 0.677 0.437 0.828
Dy10 0.823 0.563 0.328
Dy11 0.823 0.937 0.328
Dy12 0.965 0.750 0.867
Ir1 0.118 0.750 0.451
Ir2 0.382 0.250 0.951
Ir3 0.618 0.750 0.049
Ir4 0.882 0.250 0.549

The 10 most intense peaks (5 to 70 degrees two-theta), in order of rising 2θ:
d (Å)  2θ (°)  I (rel.)
2.985  29.93  261
2.857  31.31  369
2.781  32.19  1000
2.607  34.40  446
2.595  34.57  459
2.352  38.27  304
2.317  38.87  350
2.262  39.85  250
1.866  48.82  259
1.564  59.06  256



No. 8
Starting from a crystal structure in the Materials Project, relaxed with GGA-PBE, the XRD peak list of DyIr2 was computed for copper Kα.
Intensities are scaled so that the largest is 1000.

Structural model:
Cell lengths 5.362, 5.362, 5.362 Å; angles 60.00, 60.00, 60.00 degrees
Positions (direct):
Dy1 0.125 0.125 0.125
Dy2 0.875 0.875 0.875
Ir1 0.000 0.500 0.500
Ir2 0.500 0.000 0.500
Ir3 0.500 0.500 0.000
Ir4 0.500 0.500 0.500

The 8 most intense peaks (5 to 70 degrees two-theta), in order of rising 2θ:
d (Å)  2θ (°)  I (rel.)
4.378  20.29  110
2.681  33.42  219
2.286  39.41  1000
2.189  41.24  460
1.896  47.99  75
1.740  52.61  28
1.548  59.75  83
1.459  63.78  328